Starting from a cell relaxed with GGA-PBE, the powder diffraction line list of In3SbTe6 was calculated for Cu Kα, 1.54184 Å.

Principal peaks in the range 15° ≤ 2θ ≤ 90°, in order of falling intensity:
h k l	two_theta	I (rel.)
2 0 2	24.99	100
2 1 -3	28.92	81
0 2 0	42.17	76
1 1 2	27.97	68
3 1 -3	31.75	67
4 0 -2	28.35	66
5 1 0	45.09	60
3 1 -2	30.04	54
3 0 3	37.92	51
0 1 3	29.53	48

Cell and atoms:
abc: 12.5952 4.2856 14.1743
angles: 90.00 115.34 90.00
Space group P2_1/m (No. 11)
Asymmetric unit:
In 0.0453 0.2500 0.3262
In 0.3027 0.2500 0.0622
In 0.3480 0.7500 0.3054
Sb 0.2535 0.2500 0.7597
Te 0.0584 0.2500 0.8202
Te 0.1312 0.7500 0.5979
Te 0.1593 0.7500 0.1014
Te 0.2913 0.2500 0.4271
Te 0.3669 0.7500 0.9443
Te 0.4959 0.2500 0.2721